Entry 1:
Theoretical X-ray diffraction stick pattern
Compound: NiBi4Pd
Radiation: Cu Kα (weighted mean of Kα1 and Kα2)
Structure: a PBE-relaxed structure

Principal peaks in the range 10° ≤ 2θ ≤ 90°, sorted by position:
d = 3.394 Å, 26.3°, I = 31; d = 2.961 Å, 30.2°, I = 48; d = 2.864 Å, 31.2°, I = 80; d = 2.780 Å, 32.2°, I = 100; d = 2.609 Å, 34.4°, I = 69; d = 2.495 Å, 36.0°, I = 28; d = 2.443 Å, 36.8°, I = 35; d = 2.325 Å, 38.7°, I = 54; d = 2.260 Å, 39.9°, I = 28; d = 2.164 Å, 41.7°, I = 39

Atomic structure:
a b c (Å): 7.8953 7.8953 6.2149
angles (deg): 107.28 107.28 112.03
Atoms (fractional coordinates):
Ni  0.0123  0.9877  0.7500
Ni  0.9877  0.0123  0.2500
Bi  0.0514  0.6954  0.4089
Bi  0.2358  0.3501  0.2169
Bi  0.3046  0.9486  0.0911
Bi  0.3501  0.2358  0.7169
Bi  0.6499  0.7642  0.2831
Bi  0.6954  0.0514  0.9089
Bi  0.7642  0.6499  0.7831
Bi  0.9486  0.3046  0.5911
Pd  0.3658  0.6342  0.7500
Pd  0.6342  0.3658  0.2500

Entry 2:
Theoretical X-ray diffraction stick pattern
Compound: Ce4Zn3Hg
Radiation: Cu Kα (weighted mean of Kα1 and Kα2)
Structure: a PBE-relaxed structure

Principal peaks in the range 10° ≤ 2θ ≤ 90°, sorted by position:
d = 3.232 Å, 27.6°, I = 10; d = 2.770 Å, 32.3°, I = 16; d = 2.673 Å, 33.5°, I = 28; d = 2.540 Å, 35.3°, I = 33; d = 2.432 Å, 37.0°, I = 100; d = 2.144 Å, 42.1°, I = 15; d = 1.599 Å, 57.6°, I = 19; d = 1.445 Å, 64.5°, I = 20; d = 1.353 Å, 69.4°, I = 21; d = 1.336 Å, 70.5°, I = 12

Atomic structure:
a b c (Å): 10.1608 6.3979 5.5403
angles (deg): 90.00 90.00 90.00
Atoms (fractional coordinates):
Ce  0.0000  0.2231  0.0000
Ce  0.0000  0.7769  0.0000
Ce  0.2500  0.2217  0.3048
Ce  0.2500  0.7783  0.3048
Ce  0.5000  0.2231  0.0000
Ce  0.5000  0.7769  0.0000
Ce  0.7500  0.2217  0.6952
Ce  0.7500  0.7783  0.6952
Zn  0.0000  0.0000  0.5000
Zn  0.2500  0.0000  0.7992
Zn  0.2500  0.5000  0.8163
Zn  0.5000  0.0000  0.5000
Zn  0.7500  0.0000  0.2008
Zn  0.7500  0.5000  0.1837
Hg  0.0000  0.5000  0.5000
Hg  0.5000  0.5000  0.5000

Entry 3:
Theoretical X-ray diffraction stick pattern
Compound: CePu2ReC4
Radiation: Cu Kα (weighted mean of Kα1 and Kα2)
Structure: a PBE-relaxed structure

Principal peaks in the range 10° ≤ 2θ ≤ 90°, sorted by position:
d = 5.340 Å, 16.6°, I = 22; d = 3.373 Å, 26.4°, I = 23; d = 3.076 Å, 29.0°, I = 44; d = 2.964 Å, 30.2°, I = 51; d = 2.928 Å, 30.5°, I = 100; d = 2.585 Å, 34.7°, I = 26; d = 2.400 Å, 37.5°, I = 88; d = 2.273 Å, 39.7°, I = 26; d = 2.134 Å, 42.3°, I = 24; d = 1.767 Å, 51.8°, I = 22

Atomic structure:
a b c (Å): 6.1760 6.1760 12.3053
angles (deg): 90.00 90.00 147.39
Atoms (fractional coordinates):
Ce  0.1006  0.8994  0.7500
Ce  0.8994  0.1006  0.2500
Pu  0.3689  0.6311  0.5388
Pu  0.3689  0.6311  0.9612
Pu  0.6311  0.3689  0.0388
Pu  0.6311  0.3689  0.4612
Re  0.1602  0.8398  0.2500
Re  0.8398  0.1602  0.7500
C  0.0000  0.0000  0.0000
C  0.0000  0.0000  0.5000
C  0.2605  0.7395  0.1272
C  0.2605  0.7395  0.3728
C  0.4332  0.5668  0.7500
C  0.5668  0.4332  0.2500
C  0.7395  0.2605  0.6272
C  0.7395  0.2605  0.8728

Entry 4:
Theoretical X-ray diffraction stick pattern
Compound: U5Pa3As8
Radiation: Cu Kα (weighted mean of Kα1 and Kα2)
Structure: a PBE-relaxed structure

Principal peaks in the range 10° ≤ 2θ ≤ 90°, sorted by position:
d = 3.371 Å, 26.4°, I = 12; d = 3.324 Å, 26.8°, I = 34; d = 2.889 Å, 31.0°, I = 100; d = 2.053 Å, 44.1°, I = 38; d = 2.032 Å, 44.6°, I = 37; d = 1.662 Å, 55.3°, I = 20; d = 1.444 Å, 64.5°, I = 13; d = 1.297 Å, 72.9°, I = 18; d = 1.286 Å, 73.6°, I = 17; d = 1.177 Å, 81.8°, I = 13

Atomic structure:
a b c (Å): 8.2147 8.2147 8.2147
angles (deg): 59.30 59.30 59.30
Atoms (fractional coordinates):
U  0.0000  0.0000  0.0000
U  0.0000  0.5000  0.5000
U  0.5000  0.0000  0.5000
U  0.5000  0.5000  0.0000
U  0.5000  0.5000  0.5000
Pa  0.0000  0.0000  0.5000
Pa  0.0000  0.5000  0.0000
Pa  0.5000  0.0000  0.0000
As  0.2503  0.2503  0.2503
As  0.2499  0.2499  0.7496
As  0.2499  0.7496  0.2499
As  0.2504  0.7501  0.7501
As  0.7496  0.2499  0.2499
As  0.7501  0.2504  0.7501
As  0.7501  0.7501  0.2504
As  0.7497  0.7497  0.7497